Diffraction record for NdYCu2Si2. The X-ray diffraction stick pattern is calculated, not measured: it uses DFT lattice parameters and positions (GGA-PBE) and Cu Kα, 1.54184 Å.
Neutral-atom scattering factors, no anomalous dispersion.

Atomic structure:
Cell: 4.1803 4.1803 7.7801 Å, 90.00 90.00 120.00°
Fractional coordinates of all 6 atoms:
1 Nd 0.0000 0.0000 0.0000
2 Y 0.0000 0.0000 0.5000
3 Cu 0.3333 0.6667 0.2609
4 Cu 0.6667 0.3333 0.7391
5 Si 0.3333 0.6667 0.7396
6 Si 0.6667 0.3333 0.2604

The 10 most intense peaks (10° ≤ 2θ ≤ 90°), in order of falling intensity:
two_theta	I_rel	(hkl)
33.82	100	1 0 2
43.29	42	1 1 0
56.04	23	0 2 2
65.56	22	1 1 4
73.35	20	2 1 2
24.59	19	1 0 0
27.17	13	0 1 1
46.70	11	0 0 4
78.32	8	1 0 6
79.41	7	3 0 0